Record 1
Diffraction record for Er4NO4. The powder diffraction line list is computed, not measured: it uses a DFT-relaxed cell (GGA-PBE, Alexandria) and λ = 1.5418 Å (Cu Kα).

Most intense lines, 10° ≤ 2θ ≤ 80°, by angle:
18.4 deg, d = 4.813 Å, I = 7
29.1 deg, d = 3.069 Å, I = 100
32.7 deg, d = 2.742 Å, I = 26
35.8 deg, d = 2.511 Å, I = 12
37.8 deg, d = 2.382 Å, I = 8
45.9 deg, d = 1.978 Å, I = 6
46.9 deg, d = 1.939 Å, I = 14
49.2 deg, d = 1.852 Å, I = 26
56.1 deg, d = 1.639 Å, I = 24
60.2 deg, d = 1.537 Å, I = 13
60.3 deg, d = 1.534 Å, I = 8
79.6 deg, d = 1.204 Å, I = 11

Structure:
Lattice parameters (Å, degrees): 6.3445 6.3445 6.3445 128.80 128.80 75.34
Element x y z (fractional)
Er (0.1588, 0.1588, 0.5603)
Er (0.4015, 0.8412, 0.0000)
Er (0.5985, 0.5985, 0.4397)
Er (0.8412, 0.4015, 0.0000)
N (0.5000, 0.5000, 0.0000)
O (0.0000, 0.5000, 0.5000)
O (0.2215, 0.2215, 0.0000)
O (0.5000, 0.0000, 0.5000)
O (0.7785, 0.7785, 0.0000)



Record 2
Diffraction record for YErNO. The powder diffraction line list is computed, not measured: it uses a DFT-relaxed cell (GGA-PBE, Alexandria) and λ = 1.5418 Å (Cu Kα).

Most intense lines, 10° ≤ 2θ ≤ 80°, by angle:
15.8 deg, d = 5.625 Å, I = 19
30.7 deg, d = 2.910 Å, I = 11
31.8 deg, d = 2.812 Å, I = 31
32.1 deg, d = 2.788 Å, I = 93
37.2 deg, d = 2.420 Å, I = 100
53.4 deg, d = 1.717 Å, I = 33
53.7 deg, d = 1.706 Å, I = 33
63.5 deg, d = 1.465 Å, I = 13
63.8 deg, d = 1.458 Å, I = 27
64.0 deg, d = 1.455 Å, I = 13
67.1 deg, d = 1.394 Å, I = 17
79.2 deg, d = 1.210 Å, I = 10

Structure:
Lattice parameters (Å, degrees): 5.9595 5.9595 5.9595 33.26 33.26 33.26
Element x y z (fractional)
Y (0.0000, 0.0000, 0.0000)
Er (0.4929, 0.4929, 0.4929)
N (0.7491, 0.7491, 0.7491)
O (0.2443, 0.2443, 0.2443)